For Ti3Fe5O12, a structure optimized by DFT (PBE+U) gives the calculated X-ray powder pattern in this record (Cu Kα, 1.54184 Å).

Atomic structure:
Cell lengths 5.1648, 5.5865, 7.5341 Å; angles 84.82, 89.83, 89.65 degrees
Fractional coordinates of all 20 atoms:
Ti 0.0000 0.0000 0.0000
Ti 0.0108 0.0116 0.4986
Ti 0.5004 0.4921 0.0128
Fe 0.0102 0.4320 0.7151
Fe 0.5023 0.9209 0.2205
Fe 0.5040 0.5001 0.5070
Fe 0.5049 0.9164 0.7114
Fe 0.9979 0.4322 0.2182
O 0.1338 0.0436 0.2653
O 0.1765 0.3572 0.9641
O 0.2094 0.7373 0.5905
O 0.3161 0.2060 0.6001
O 0.3213 0.8648 0.9489
O 0.3819 0.5489 0.2592
O 0.6278 0.5618 0.7739
O 0.6909 0.8583 0.4718
O 0.6976 0.2276 0.0884
O 0.8074 0.7376 0.0907
O 0.8480 0.3520 0.4678
O 0.8553 0.0438 0.7720

Peak list (10 most intense, 10 to 80 degrees two-theta, low angle first)
h k l, d_spacing, 2θ/deg, I (rel.)
0 2 0, 2.782, 32.18, 48.7
1 1 2, 2.757, 32.47, 46.6
-1 1 2, 2.744, 32.64, 45.0
1 -1 2, 2.585, 34.70, 100.0
2 2 0, 1.898, 47.93, 18.9
2 -2 0, 1.887, 48.22, 18.8
0 0 4, 1.876, 48.53, 18.4
-2 2 2, 1.727, 53.04, 20.2
0 2 -4, 1.494, 62.13, 14.6
3 -1 2, 1.492, 62.24, 29.4